Simulated XRD peak list
Compound: SmGa2NiRh
Radiation: Cu Kα X-rays
Structure: a GGA-PBE-relaxed structure
Intensities are scaled so that the largest is 100.

Structural model:
Lattice parameters (Å, degrees): 4.109 4.109 10.491 90.00 90.00 90.00
Space group I-4m2 (No. 119)
Asymmetric unit:
Sm 0.000 0.000 0.000 x2
Ga 0.000 0.000 0.376 x4
Ni 0.000 0.500 0.750 x2
Rh 0.000 0.500 0.250 x2

Main lines, low angle first (2θ from 10° to 90°):
| 2θ/deg | d/Å | intensity |
| --- | --- | --- |
| 33.65 | 2.663 | 71 |
| 35.31 | 2.542 | 100 |
| 44.07 | 2.055 | 56 |
| 48.73 | 1.869 | 26 |
| 56.57 | 1.627 | 32 |
| 75.35 | 1.261 | 21 |

Simulated XRD peak list
Compound: Ce4S6Br
Radiation: Cu Kα X-rays
Structure: a GGA-PBE-relaxed structure
Intensities are scaled so that the largest is 100.

Structural model:
Lattice parameters (Å, degrees): 8.5688 8.5688 3.9776 90.00 90.00 120.00
Space group P-6m2 (No. 187)
Asymmetric unit:
Ce 0.0000 0.0000 0.0000 x1
Ce 0.0246 0.5123 0.5000 x3
S 0.2073 0.4146 0.0000 x3
S 0.2769 0.1385 0.5000 x3
Br 0.6667 0.3333 0.0000 x1

Main lines, low angle first (2θ from 10° to 90°):
| 2θ/deg | d/Å | intensity |
| --- | --- | --- |
| 23.98 | 3.710 | 100 |
| 25.41 | 3.506 | 36 |
| 30.67 | 2.915 | 80 |
| 33.01 | 2.713 | 70 |
| 39.31 | 2.292 | 61 |
| 42.18 | 2.142 | 63 |